Simulated powder XRD pattern of SnHgTeO6 for CuKα, from a crystal structure in Alexandria, relaxed with GGA-PBE.
Kinematic intensities with the Lorentz-polarization factor, no thermal factor.

Structure:
Cell lengths 5.394, 5.394, 9.963 Å; angles 90.00, 90.00, 120.00 degrees
Positions (direct):
Sn  0.333  0.667  0.250
Sn  0.667  0.333  0.750
Hg  0.000  0.000  0.000
Hg  0.000  0.000  0.500
Te  0.333  0.667  0.750
Te  0.667  0.333  0.250
O  0.018  0.380  0.640
O  0.018  0.639  0.860
O  0.361  0.380  0.860
O  0.361  0.982  0.640
O  0.380  0.018  0.140
O  0.380  0.361  0.360
O  0.620  0.639  0.640
O  0.620  0.982  0.860
O  0.639  0.018  0.360
O  0.639  0.620  0.140
O  0.982  0.361  0.140
O  0.982  0.620  0.360

Peak list (6 most intense, 2θ from 5° to 70°, by angle)
2θ/deg	I_rel
26.2	100
33.2	41
42.8	26
49.8	39
55.2	26
59.3	13

***

Simulated powder XRD pattern of Y4SnHgO for CuKα, from a crystal structure in Alexandria, relaxed with GGA-PBE.
Kinematic intensities with the Lorentz-polarization factor, no thermal factor.

Structure:
Cell lengths 8.813, 8.813, 6.529 Å; angles 90.00, 90.00, 136.52 degrees
Positions (direct):
Y  0.000  0.500  0.000
Y  0.000  0.500  0.500
Y  0.068  0.932  0.750
Y  0.417  0.583  0.750
Y  0.500  0.000  0.000
Y  0.500  0.000  0.500
Y  0.583  0.417  0.250
Y  0.932  0.068  0.250
Sn  0.391  0.609  0.250
Sn  0.609  0.391  0.750
Hg  0.116  0.884  0.250
Hg  0.884  0.116  0.750
O  0.263  0.737  0.750
O  0.737  0.263  0.250

Peak list (6 most intense, 2θ from 5° to 70°, by angle)
2θ/deg	I_rel
27.3	39
29.5	57
33.6	29
35.2	100
39.0	65
68.2	29

***

Simulated powder XRD pattern of SrHgO for CuKα, from a crystal structure in Alexandria, relaxed with GGA-PBE.
Kinematic intensities with the Lorentz-polarization factor, no thermal factor.

Structure:
Cell lengths 7.666, 7.666, 7.666 Å; angles 147.67, 139.53, 52.72 degrees
Positions (direct):
Sr  0.205  0.205  0.000
Sr  0.795  0.795  0.000
Hg  0.253  0.500  0.753
Hg  0.747  0.500  0.247
O  0.281  0.781  0.500
O  0.719  0.219  0.500

Peak list (6 most intense, 2θ from 5° to 70°, by angle)
2θ/deg	I_rel
21.8	74
25.9	52
28.6	100
36.3	59
40.6	54
52.5	44

***

Simulated powder XRD pattern of SrHgO3 for CuKα, from a crystal structure in Alexandria, relaxed with GGA-PBE.
Kinematic intensities with the Lorentz-polarization factor, no thermal factor.

Structure:
Cell lengths 4.842, 4.105, 10.280 Å; angles 90.00, 101.86, 90.00 degrees
Positions (direct):
Sr  0.137  0.000  0.241
Sr  0.863  0.000  0.759
Hg  0.300  0.500  0.615
Hg  0.700  0.500  0.385
O  0.051  0.500  0.065
O  0.198  0.500  0.380
O  0.340  0.000  0.707
O  0.660  0.000  0.293
O  0.802  0.500  0.620
O  0.949  0.500  0.935

Peak list (6 most intense, 2θ from 5° to 70°, by angle)
2θ/deg	I_rel
8.8	100
23.4	24
28.4	19
31.3	26
31.8	24
42.1	22

***

Simulated powder XRD pattern of SrTc2HgO8 for CuKα, from a crystal structure in Alexandria, relaxed with GGA-PBE.
Kinematic intensities with the Lorentz-polarization factor, no thermal factor.

Structure:
Cell lengths 6.501, 6.501, 7.978 Å; angles 90.68, 90.68, 61.10 degrees
Positions (direct):
Sr  0.000  0.000  0.000
Tc  0.335  0.335  0.760
Tc  0.665  0.665  0.240
Hg  0.000  0.000  0.500
O  0.189  0.189  0.836
O  0.194  0.627  0.830
O  0.330  0.330  0.544
O  0.373  0.806  0.170
O  0.627  0.194  0.830
O  0.670  0.670  0.456
O  0.806  0.373  0.170
O  0.811  0.811  0.164

Peak list (6 most intense, 2θ from 5° to 70°, by angle)
2θ/deg	I_rel
19.1	58
19.5	28
27.0	31
27.2	47
27.4	100
39.0	30

***

Simulated powder XRD pattern of Tb4Hg2O for CuKα, from a crystal structure in Alexandria, relaxed with GGA-PBE.
Kinematic intensities with the Lorentz-polarization factor, no thermal factor.

Structure:
Cell lengths 8.315, 8.315, 8.315 Å; angles 146.75, 146.75, 47.73 degrees
Positions (direct):
Tb  0.000  0.500  0.500
Tb  0.177  0.177  0.000
Tb  0.500  0.000  0.500
Tb  0.823  0.823  0.000
Hg  0.369  0.369  0.000
Hg  0.631  0.631  0.000
O  0.000  0.000  0.000

Peak list (6 most intense, 2θ from 5° to 70°, by angle)
2θ/deg	I_rel
26.5	31
29.0	77
35.0	41
35.6	100
37.8	78
66.9	33

***

Simulated powder XRD pattern of Tb2HgO4 for CuKα, from a crystal structure in Alexandria, relaxed with GGA-PBE.
Kinematic intensities with the Lorentz-polarization factor, no thermal factor.

Structure:
Cell lengths 7.105, 7.105, 10.167 Å; angles 121.01, 121.01, 29.93 degrees
Positions (direct):
Tb  0.119  0.119  0.462
Tb  0.341  0.341  0.200
Tb  0.659  0.659  0.800
Tb  0.881  0.881  0.538
Hg  0.386  0.386  0.838
Hg  0.614  0.614  0.162
O  0.082  0.082  0.653
O  0.269  0.269  0.388
O  0.297  0.297  0.945
O  0.465  0.465  0.717
O  0.535  0.535  0.283
O  0.703  0.703  0.055
O  0.731  0.731  0.612
O  0.918  0.918  0.347

Peak list (6 most intense, 2θ from 5° to 70°, by angle)
2θ/deg	I_rel
29.1	60
30.8	68
31.2	58
32.4	100
35.6	63
51.6	52

***

Simulated powder XRD pattern of TcHgO for CuKα, from a crystal structure in Alexandria, relaxed with GGA-PBE.
Kinematic intensities with the Lorentz-polarization factor, no thermal factor.

Structure:
Cell lengths 2.885, 2.885, 13.434 Å; angles 83.99, 89.81, 60.00 degrees
Positions (direct):
Tc  0.000  0.000  0.000
Tc  0.488  0.042  0.413
Hg  0.611  0.784  0.817
Hg  0.878  0.257  0.597
O  0.128  0.765  0.324
O  0.694  0.610  0.088

Peak list (6 most intense, 2θ from 5° to 70°, by angle)
2θ/deg	I_rel
6.6	100
33.6	17
39.3	14
40.3	20
40.4	10
64.6	10

***

Simulated powder XRD pattern of TcHg3O4 for CuKα, from a crystal structure in Alexandria, relaxed with GGA-PBE.
Kinematic intensities with the Lorentz-polarization factor, no thermal factor.

Structure:
Cell lengths 6.515, 9.768, 5.246 Å; angles 90.00, 90.00, 90.00 degrees
Positions (direct):
Tc  0.000  0.083  0.000
Tc  0.500  0.917  0.500
Hg  0.000  0.635  0.520
Hg  0.242  0.345  0.502
Hg  0.258  0.655  0.002
Hg  0.500  0.365  0.020
Hg  0.742  0.655  0.002
Hg  0.758  0.345  0.502
O  0.000  0.112  0.328
O  0.000  0.910  0.924
O  0.217  0.164  0.873
O  0.283  0.836  0.373
O  0.500  0.090  0.424
O  0.500  0.888  0.828
O  0.717  0.836  0.373
O  0.783  0.164  0.873

Peak list (6 most intense, 2θ from 5° to 70°, by angle)
2θ/deg	I_rel
9.1	89
23.6	57
27.4	45
33.7	100
34.2	46
37.3	82

***

Simulated powder XRD pattern of TcHg2O5 for CuKα, from a crystal structure in Alexandria, relaxed with GGA-PBE.
Kinematic intensities with the Lorentz-polarization factor, no thermal factor.

Structure:
Cell lengths 6.247, 6.247, 6.247 Å; angles 115.59, 115.59, 97.83 degrees
Positions (direct):
Tc  0.000  0.000  0.000
Hg  0.078  0.578  0.500
Hg  0.578  0.078  0.500
O  0.219  0.302  0.376
O  0.302  0.926  0.084
O  0.793  0.793  0.000
O  0.842  0.219  0.916
O  0.926  0.842  0.624

Peak list (6 most intense, 2θ from 5° to 70°, by angle)
2θ/deg	I_rel
18.8	74
21.6	100
26.8	100
28.9	97
34.7	76
48.6	51